Computed powder XRD pattern of Fe6Ag4F19 for Cu Ka, from DFT lattice parameters and positions (PBE+U).
Intensities are scaled so that the largest is 100.

The 12 most intense peaks (10° ≤ 2θ ≤ 90°), in order of rising 2θ:
- 18.6 deg, rel. 16
- 22.8 deg, rel. 100
- 29.6 deg, rel. 85
- 32.5 deg, rel. 35
- 35.2 deg, rel. 37
- 40.1 deg, rel. 54
- 46.6 deg, rel. 13
- 48.7 deg, rel. 58
- 52.5 deg, rel. 38
- 58.0 deg, rel. 30
- 72.9 deg, rel. 15
- 88.1 deg, rel. 19

a = 8.261 Å, b = 8.261 Å, c = 8.261 Å
α = 109.47°, β = 109.47°, γ = 109.47°
Sites, in units of the cell vectors:
Fe1 0.150 0.500 0.650
Fe2 0.350 0.850 0.500
Fe3 0.500 0.350 0.850
Fe4 0.500 0.650 0.150
Fe5 0.650 0.150 0.500
Fe6 0.850 0.500 0.350
Ag1 0.000 0.000 0.286
Ag2 0.000 0.286 0.000
Ag3 0.286 0.000 0.000
Ag4 0.714 0.714 0.714
F1 0.000 0.000 0.000
F2 0.000 0.348 0.348
F3 0.000 0.652 0.652
F4 0.051 0.722 0.358
F5 0.278 0.329 0.635
F6 0.307 0.671 0.949
F7 0.329 0.635 0.278
F8 0.348 0.000 0.348
F9 0.348 0.348 0.000
F10 0.358 0.051 0.722
F11 0.365 0.693 0.642
F12 0.635 0.278 0.329
F13 0.642 0.365 0.693
F14 0.652 0.000 0.652
F15 0.652 0.652 0.000
F16 0.671 0.949 0.307
F17 0.693 0.642 0.365
F18 0.722 0.358 0.051
F19 0.949 0.307 0.671